Entry 1:
Nd3Zn2Hg6: computed powder diffraction line list (Cu Kα), based on a cell relaxed with PBE.
Intensities are scaled so that the largest is 100.

Structural model:
Cell: 4.2779 4.2779 31.2731 Å, 90.00 90.00 90.00°
Space group I4/mmm (No. 139)
Unique sites:
Nd: 0.0000 0.0000 0.0000 (multiplicity 2)
Nd: 0.0000 0.0000 0.1717 (multiplicity 4)
Zn: 0.0000 0.0000 0.3615 (multiplicity 4)
Hg: 0.0000 0.0000 0.2740 (multiplicity 4)
Hg: 0.0000 0.5000 0.0784 (multiplicity 8)

Largest 12 diffraction maxima, sorted by position, 2θ = 10–80°:
h k l, two_theta, d/Å, Rel. int.
0 0 6, 17.0, 5.212, 34
1 1 2, 30.1, 2.970, 97
1 1 4, 31.7, 2.821, 33
1 0 9, 33.2, 2.697, 28
1 1 6, 34.3, 2.616, 100
1 1 8, 37.6, 2.392, 41
1 0 11, 38.0, 2.368, 58
2 0 0, 42.3, 2.139, 83
2 1 11, 58.1, 1.587, 33
2 2 0, 61.3, 1.512, 28
1 1 18, 61.6, 1.507, 29
3 1 6, 72.2, 1.309, 34

---

Entry 2:
NdZrHg2: computed powder diffraction line list (Cu Kα), based on a cell relaxed with PBE.
Intensities are scaled so that the largest is 100.

Structural model:
Cell: 3.6245 3.6245 7.5636 Å, 90.00 90.00 90.00°
Space group P4/mmm (No. 123)
Unique sites:
Nd: 0.0000 0.0000 0.0000 (multiplicity 1)
Zr: 0.0000 0.0000 0.5000 (multiplicity 1)
Hg: 0.5000 0.5000 0.2785 (multiplicity 2)

Largest 12 diffraction maxima, sorted by position, 2θ = 10–80°:
h k l, two_theta, d/Å, Rel. int.
1 0 0, 24.6, 3.624, 8
1 0 1, 27.3, 3.269, 7
1 0 2, 34.3, 2.617, 100
1 1 0, 35.0, 2.563, 51
0 0 4, 48.1, 1.891, 8
2 0 0, 50.4, 1.812, 18
1 1 3, 50.8, 1.797, 6
1 1 4, 60.9, 1.522, 15
2 1 2, 62.3, 1.490, 36
1 0 5, 67.0, 1.396, 5
2 0 4, 72.2, 1.308, 9
2 2 0, 74.0, 1.281, 6

---

Entry 3:
NdZrHg6: computed powder diffraction line list (Cu Kα), based on a cell relaxed with PBE.
Intensities are scaled so that the largest is 100.

Structural model:
Cell: 4.7288 4.7288 8.6031 Å, 90.00 90.00 90.00°
Space group P4/mmm (No. 123)
Unique sites:
Nd: 0.0000 0.0000 0.0000 (multiplicity 1)
Zr: 0.0000 0.0000 0.5000 (multiplicity 1)
Hg: 0.0000 0.5000 0.2661 (multiplicity 4)
Hg: 0.5000 0.5000 0.0000 (multiplicity 1)
Hg: 0.5000 0.5000 0.5000 (multiplicity 1)

Largest 12 diffraction maxima, sorted by position, 2θ = 10–80°:
h k l, two_theta, d/Å, Rel. int.
1 0 0, 18.8, 4.729, 3
1 0 2, 28.0, 3.182, 2
1 1 2, 34.0, 2.640, 100
2 0 0, 38.1, 2.364, 38
0 0 4, 42.0, 2.151, 13
2 0 3, 50.0, 1.824, 1
2 2 0, 54.9, 1.672, 13
2 0 4, 58.0, 1.591, 20
1 1 5, 60.5, 1.530, 2
3 1 2, 66.2, 1.412, 30
2 2 4, 71.5, 1.320, 11
1 1 6, 71.6, 1.318, 10

---

Entry 4:
Ni3Hg4: computed powder diffraction line list (Cu Kα), based on a cell relaxed with PBE.
Intensities are scaled so that the largest is 100.

Structural model:
Cell: 5.1921 5.1921 5.2592 Å, 90.00 90.00 120.00°
Space group P6/mmm (No. 191)
Unique sites:
Ni: 0.0000 0.5000 0.0000 (multiplicity 3)
Hg: 0.0000 0.0000 0.2484 (multiplicity 2)
Hg: 0.3333 0.6667 0.5000 (multiplicity 2)

Largest 12 diffraction maxima, sorted by position, 2θ = 10–80°:
h k l, two_theta, d/Å, Rel. int.
1 0 1, 26.1, 3.418, 13
1 1 0, 34.5, 2.596, 89
1 1 1, 38.7, 2.328, 52
1 0 2, 39.7, 2.270, 100
2 0 0, 40.1, 2.248, 17
2 0 1, 43.8, 2.067, 27
2 0 2, 53.6, 1.709, 16
3 0 0, 61.9, 1.499, 17
1 1 3, 64.1, 1.453, 13
3 0 1, 64.7, 1.441, 11
2 1 2, 65.4, 1.427, 47
2 2 0, 72.9, 1.298, 19

---

Entry 5:
Ni4Hg3: computed powder diffraction line list (Cu Kα), based on a cell relaxed with PBE.
Intensities are scaled so that the largest is 100.

Structural model:
Cell: 5.5486 5.5486 4.4647 Å, 90.00 90.00 120.00°
Space group P6/mmm (No. 191)
Unique sites:
Ni: 0.0000 0.0000 0.2480 (multiplicity 2)
Ni: 0.3333 0.6667 0.0000 (multiplicity 2)
Hg: 0.0000 0.5000 0.5000 (multiplicity 3)

Largest 12 diffraction maxima, sorted by position, 2θ = 10–80°:
h k l, two_theta, d/Å, Rel. int.
1 0 0, 18.5, 4.805, 16
0 0 1, 19.9, 4.465, 56
1 0 1, 27.3, 3.271, 14
2 0 0, 37.4, 2.403, 73
1 1 1, 38.2, 2.356, 34
0 0 2, 40.4, 2.232, 16
2 0 1, 42.7, 2.116, 100
1 0 2, 44.8, 2.025, 31
2 0 2, 56.2, 1.635, 18
2 1 2, 66.4, 1.409, 18
2 2 0, 67.5, 1.387, 21
2 0 3, 75.1, 1.265, 20